Entry 1:
Simulated powder XRD pattern of TmZn2Cd4 for Cu Kα X-rays, from the GGA-PBE geometry in Alexandria.

Cell and atoms:
abc: 4.671 17.490 3.593
angles: 90.00 90.00 90.00
Space group Cmmm (No. 65)
Symmetry-distinct sites (fractional):
1 Tm 0.000 0.000 0.000
2 Zn 0.000 0.431 0.500
3 Cd 0.000 0.155 0.500
4 Cd 0.000 0.305 0.000

Peak list (12 most intense, 2θ from 10° to 80°, sorted by position)
(0 6 0), 2θ 30.7, 2.915 Å, intensity 12
(0 4 1), 2θ 32.2, 2.776 Å, intensity 25
(1 3 1), 2θ 35.1, 2.559 Å, intensity 100
(2 0 0), 2θ 38.5, 2.336 Å, intensity 29
(1 7 0), 2θ 41.0, 2.203 Å, intensity 35
(0 0 2), 2θ 50.8, 1.796 Å, intensity 13
(2 4 1), 2θ 51.1, 1.787 Å, intensity 14
(0 10 1), 2θ 58.7, 1.573 Å, intensity 12
(2 0 2), 2θ 65.6, 1.424 Å, intensity 12
(1 7 2), 2θ 67.2, 1.392 Å, intensity 15
(3 3 1), 2θ 67.5, 1.388 Å, intensity 15
(2 10 1), 2θ 72.5, 1.304 Å, intensity 12

Entry 2:
Simulated powder XRD pattern of Tm5Zn2Cd for Cu Kα X-rays, from the GGA-PBE geometry in Alexandria.

Cell and atoms:
abc: 8.035 8.035 12.465
angles: 90.00 90.00 90.00
Space group I4/mcm (No. 140)
Symmetry-distinct sites (fractional):
1 Tm 0.000 0.000 0.000
2 Tm 0.153 0.347 0.147
3 Zn 0.139 0.361 0.500
4 Cd 0.000 0.000 0.250

Peak list (12 most intense, 2θ from 10° to 80°, sorted by position)
(2 1 1), 2θ 25.8, 3.453 Å, intensity 22
(2 2 0), 2θ 31.5, 2.841 Å, intensity 11
(1 1 4), 2θ 32.8, 2.732 Å, intensity 25
(2 1 3), 2θ 33.0, 2.718 Å, intensity 100
(3 1 0), 2θ 35.3, 2.541 Å, intensity 65
(2 0 4), 2θ 36.5, 2.462 Å, intensity 23
(4 2 0), 2θ 50.8, 1.797 Å, intensity 10
(4 1 3), 2θ 51.8, 1.764 Å, intensity 11
(4 0 4), 2θ 54.3, 1.688 Å, intensity 12
(3 3 4), 2θ 56.9, 1.618 Å, intensity 16
(3 1 6), 2θ 57.3, 1.608 Å, intensity 10
(5 2 3), 2θ 66.6, 1.404 Å, intensity 19

Entry 3:
Simulated powder XRD pattern of Tm2Zn16Cd for Cu Kα X-rays, from the GGA-PBE geometry in Alexandria.

Cell and atoms:
abc: 8.9994 8.9994 13.2051
angles: 90.00 90.00 120.00
Space group R3m (No. 160, hexagonal axes)
Symmetry-distinct sites (fractional):
1 Tm 0.0000 0.0000 0.0000
2 Tm 0.0000 0.0000 0.3224
3 Zn 0.0000 0.0000 0.7711
4 Zn 0.9996 0.3022 0.6630
5 Zn 0.0144 0.5072 0.8149
6 Zn 0.1703 0.3405 0.4962
7 Zn 0.1723 0.3446 0.8434
8 Cd 0.0000 0.0000 0.5638

Peak list (12 most intense, 2θ from 10° to 80°, sorted by position)
(1 1 3), 2θ 28.4, 3.147 Å, intensity 26
(3 0 0), 2θ 34.5, 2.598 Å, intensity 49
(0 2 4), 2θ 35.6, 2.519 Å, intensity 30
(2 2 0), 2θ 40.1, 2.250 Å, intensity 64
(0 3 3), 2θ 40.3, 2.237 Å, intensity 100
(0 0 6), 2θ 41.0, 2.200 Å, intensity 50
(2 0 5), 2θ 41.3, 2.186 Å, intensity 20
(2 2 3), 2θ 45.3, 2.003 Å, intensity 28
(2 2 6), 2θ 58.7, 1.573 Å, intensity 22
(3 3 3), 2θ 65.8, 1.420 Å, intensity 19
(6 0 0), 2θ 72.8, 1.299 Å, intensity 27
(0 3 9), 2θ 74.2, 1.278 Å, intensity 22

Entry 4:
Simulated powder XRD pattern of Tm3Zn8Cd3 for Cu Kα X-rays, from the GGA-PBE geometry in Alexandria.

Cell and atoms:
abc: 4.433 9.169 13.188
angles: 90.00 90.00 90.00
Space group Immm (No. 71)
Symmetry-distinct sites (fractional):
1 Tm 0.000 0.000 0.000
2 Tm 0.000 0.000 0.292
3 Zn 0.000 0.270 0.147
4 Zn 0.000 0.367 0.334
5 Cd 0.000 0.204 0.500
6 Cd 0.000 0.500 0.000

Peak list (12 most intense, 2θ from 10° to 80°, sorted by position)
(1 2 1), 2θ 28.8, 3.098 Å, intensity 10
(0 2 4), 2θ 33.5, 2.677 Å, intensity 16
(1 2 3), 2θ 34.8, 2.580 Å, intensity 100
(1 1 4), 2θ 35.3, 2.542 Å, intensity 19
(0 3 3), 2θ 35.7, 2.513 Å, intensity 35
(1 3 2), 2θ 38.3, 2.351 Å, intensity 27
(2 0 0), 2θ 40.7, 2.216 Å, intensity 37
(0 0 6), 2θ 41.1, 2.198 Å, intensity 18
(2 3 3), 2θ 55.3, 1.661 Å, intensity 11
(2 0 6), 2θ 59.2, 1.561 Å, intensity 12
(1 4 7), 2θ 67.8, 1.383 Å, intensity 13
(3 2 3), 2θ 70.3, 1.339 Å, intensity 14